Simulated PXRD pattern of Ba2Ni3O7 for λ = 1.5418 Å (Cu Kα), from DFT lattice parameters and positions (PBE+U).
No peak broadening, texture or thermal motion is included.

Structure:
```
data_Ba2Ni3O7
_chemical_formula_sum 'Ba2 Ni3 O7'
_symmetry_space_group_name_H-M 'P m m m'
_symmetry_Int_Tables_number 47
_cell_length_a 3.701
_cell_length_b 3.732
_cell_length_c 13.123
_cell_angle_alpha 90.00
_cell_angle_beta 90.00
_cell_angle_gamma 90.00
loop_
_symmetry_equiv_pos_as_xyz
'x,y,z'
'-x,-y,-z'
'-x,-y,z'
'x,y,-z'
'x,-y,-z'
'-x,y,z'
'-x,y,-z'
'x,-y,z'
loop_
_atom_site_label
_atom_site_type_symbol
_atom_site_fract_x
_atom_site_fract_y
_atom_site_fract_z
Ba1 Ba 0.000 0.000 0.197
Ni1 Ni 0.500 0.500 0.000
Ni2 Ni 0.500 0.500 0.381
O1 O 0.000 0.500 0.355
O2 O 0.500 0.000 0.000
O3 O 0.500 0.000 0.357
O4 O 0.500 0.500 0.137
```

Principal peaks in the range 2θ from 10° to 90°, sorted by position:
2θ/deg, d [Å], I (rel.), (hkl)
13.5, 6.561, 32, 0 0 2
27.5, 3.244, 44, 0 1 2
27.7, 3.224, 57, 1 0 2
31.5, 2.839, 48, 0 1 3
31.7, 2.825, 58, 1 0 3
34.1, 2.627, 100, 0 0 5
48.8, 1.866, 21, 0 2 0
49.1, 1.857, 41, 1 1 5
49.2, 1.850, 21, 2 0 0
59.4, 1.557, 18, 1 2 3
61.8, 1.501, 25, 1 0 8
82.0, 1.175, 20, 2 2 5